1.
This entry pairs a crystal structure of CeAsS with its calculated XRD peak list. Radiation: Cu Kα (weighted mean of Kα1 and Kα2). Structure: a structure optimized by DFT (GGA-PBE).
Neutral-atom scattering factors, no anomalous dispersion.

The 10 most intense peaks (5 to 70 degrees two-theta), in order of falling intensity:
two_theta, I (rel.), hkl
38.64, 100, 4 1 1
24.90, 93, 2 1 0
33.85, 64, 2 1 1
46.06, 45, 0 2 0
31.60, 43, 6 0 0
39.17, 34, 6 0 1
56.93, 30, 6 2 0
53.06, 24, 2 2 1
64.21, 21, 10 1 1
32.12, 18, 0 1 1

Crystal structure
a = 16.989 Å, b = 3.943 Å, c = 3.939 Å
α = 90.00°, β = 90.00°, γ = 90.00°
Space group Pnma (No. 62)
Inequivalent atoms, fractional coordinates:
Ce 0.145 0.250 0.231
As 0.001 0.250 0.731
S 0.184 0.750 0.731

***

2.
This entry pairs a crystal structure of Te4W3S2 with its calculated XRD peak list. Radiation: Cu Kα (weighted mean of Kα1 and Kα2). Structure: a structure optimized by DFT (GGA-PBE).
Neutral-atom scattering factors, no anomalous dispersion.

The 10 most intense peaks (5 to 70 degrees two-theta), in order of falling intensity:
two_theta, I (rel.), hkl
5.58, 100, 0 0 2
11.17, 35, 0 0 4
36.21, 19, 1 0 7
34.70, 17, 1 0 6
43.81, 13, 1 0 11
30.14, 11, 1 0 0
53.55, 9, 1 1 0
13.97, 6, 0 0 5
41.71, 6, 1 0 10
39.74, 6, 1 0 9

Crystal structure
a = 3.4235 Å, b = 3.4235 Å, c = 31.6982 Å
α = 90.00°, β = 90.00°, γ = 120.00°
Space group P-6m2 (No. 187)
Inequivalent atoms, fractional coordinates:
Te 0.0000 0.0000 0.1723
Te 0.0000 0.0000 0.2904
W 0.0000 0.0000 0.0000
W 0.6667 0.3333 0.2313
S 0.6667 0.3333 0.0473